[1]
Structure and calculated powder diffractogram of LiCe2WN5 (a crystal structure in Alexandria, relaxed with GGA-PBE; λ = 1.5418 Å (Cu Kα)).
No peak broadening, texture or thermal motion is included.

Main lines, in order of falling intensity (2θ from 10° to 80°):
hkl 1 1 3, 38.85 deg, I 100
hkl 0 2 3, 29.30 deg, I 93
hkl 1 1 0, 28.36 deg, I 49
hkl 1 3 0, 34.25 deg, I 44
hkl 1 5 2, 47.56 deg, I 43
hkl 0 4 1, 28.12 deg, I 41
hkl 0 2 2, 21.83 deg, I 40
hkl 2 0 0, 56.90 deg, I 33
hkl 0 2 0, 13.27 deg, I 32
hkl 1 3 1, 35.38 deg, I 27

Cell and atoms:
Cell lengths 3.2388, 13.3444, 10.2804 Å; angles 90.00, 90.00, 90.00 degrees
Space group Cmc2_1 (No. 36)
Unique sites:
Li 0.0000 0.0322 0.0000 x4
Ce 0.0000 0.3672 0.8495 x4
Ce 0.0000 0.3982 0.2136 x4
W 0.0000 0.3020 0.5544 x4
N 0.0000 0.0045 0.3099 x4
N 0.0000 0.1388 0.5427 x4
N 0.0000 0.1950 0.9369 x4
N 0.0000 0.2210 0.2031 x4
N 0.0000 0.4355 0.6026 x4


[2]
Structure and calculated powder diffractogram of Mg3In5Cl12 (a crystal structure in Alexandria, relaxed with GGA-PBE; λ = 1.5418 Å (Cu Kα)).
No peak broadening, texture or thermal motion is included.

Main lines, in order of falling intensity (2θ from 10° to 80°):
hkl 2 1 1, 31.78 deg, I 100
hkl 3 0 1, 33.87 deg, I 57
hkl 3 0 0, 24.35 deg, I 50
hkl 2 0 0, 16.17 deg, I 36
hkl 2 2 1, 36.81 deg, I 32
hkl 1 1 1, 27.18 deg, I 32
hkl 4 1 1, 44.63 deg, I 31
hkl 3 2 0, 35.69 deg, I 31
hkl 0 0 1, 23.18 deg, I 29
hkl 3 2 1, 42.99 deg, I 28

Cell and atoms:
Cell lengths 12.6627, 12.6627, 3.8367 Å; angles 90.00, 90.00, 120.00 degrees
Space group P-62m (No. 189)
Unique sites:
Mg 0.0000 0.3345 0.0000 x3
In 0.0000 0.7178 0.5000 x3
In 0.3333 0.6667 0.5000 x2
Cl 0.0000 0.1983 0.5000 x3
Cl 0.0000 0.4657 0.5000 x3
Cl 0.2138 0.7672 0.0000 x6


[3]
Structure and calculated powder diffractogram of MgSi2 (a crystal structure in Alexandria, relaxed with GGA-PBE; λ = 1.5418 Å (Cu Kα)).
No peak broadening, texture or thermal motion is included.

Main lines, in order of falling intensity (2θ from 10° to 80°):
hkl 1 2 1, 37.56 deg, I 100
hkl 1 0 3, 41.54 deg, I 75
hkl 1 1 2, 34.60 deg, I 66
hkl 2 0 0, 40.80 deg, I 58
hkl 0 3 1, 45.84 deg, I 30
hkl 0 2 2, 37.83 deg, I 29
hkl 1 3 4, 71.46 deg, I 24
hkl 2 3 1, 63.02 deg, I 23
hkl 2 2 2, 56.85 deg, I 17
hkl 1 2 3, 51.46 deg, I 16

Cell and atoms:
Cell lengths 4.4231, 6.1583, 7.4880 Å; angles 90.00, 90.00, 90.00 degrees
Space group Imma (No. 74)
Unique sites:
Mg 0.0000 0.2500 0.0572 x4
Si 0.0000 0.0551 0.6582 x8